Calculated powder X-ray diffraction pattern
Compound: FePH3CO7
Radiation: Cu Kα (weighted mean of Kα1 and Kα2)
Structure: the PBE+U geometry in the Materials Project

Structure:
```
FePH3CO7
1.0
5.1132 0.0000 0.0000
-1.6531 7.5393 0.0000
-2.3964 -1.4520 7.2681
Fe P H C O
2 2 6 2 14
Direct
0.0488 0.2918 0.2594
0.9512 0.7082 0.7406
0.3532 0.7043 0.4590
0.6468 0.2957 0.5410
0.2254 0.6363 0.0658
0.2491 0.9631 0.3957
0.4332 0.6772 0.9480
0.5668 0.3228 0.0520
0.7509 0.0369 0.6043
0.7746 0.3637 0.9342
0.1206 0.0525 0.9719
0.8794 0.9475 0.0281
0.1836 0.9682 0.8469
0.2044 0.6763 0.5972
0.2323 0.6228 0.9402
0.2376 0.2145 0.0547
0.2417 0.8408 0.3340
0.3050 0.5339 0.3160
0.3187 0.2045 0.4454
0.6813 0.7955 0.5546
0.6950 0.4661 0.6840
0.7583 0.1592 0.6660
0.7624 0.7855 0.9453
0.7677 0.3772 0.0598
0.7956 0.3237 0.4028
0.8164 0.0318 0.1531
```

Main lines, in order of rising 2θ (10 to 90 degrees two-theta):
two_theta, I (rel.), (hkl)
12.2, 14, 0 0 1
15.3, 100, 0 1 -1
18.7, 59, 1 0 -1
18.9, 19, 1 0 0
24.1, 34, 0 2 0
25.2, 58, 1 -1 1
25.3, 62, 1 0 -2
29.2, 21, 0 2 1
31.7, 12, 1 1 1
32.7, 10, 1 2 -1
35.1, 16, -1 2 2
37.6, 40, 1 -2 2